Record 1
For Th2Te3, a DFT-relaxed cell (GGA-PBE, Alexandria) gives the computed powder diffractogram in this record (copper Kα).

```
data_Th2Te3
_space_group_name_H-M_alt 'P n m a'
_space_group_IT_number 62
_space_group_name_Hall '-P 2ac 2n'
_cell_length_a 8.8139
_cell_length_b 4.2835
_cell_length_c 17.1922
_cell_angle_alpha 90.00
_cell_angle_beta 90.00
_cell_angle_gamma 90.00
loop_
_atom_site_label
_atom_site_type_symbol
_atom_site_fract_x
_atom_site_fract_y
_atom_site_fract_z
_atom_site_occupancy
Th1 Th 0.0554 0.2500 0.2115 1
Th2 Th 0.2455 0.7500 0.4582 1
Te1 Te 0.0002 0.2500 0.3989 1
Te2 Te 0.1074 0.7500 0.0749 1
Te3 Te 0.2053 0.2500 0.7736 1
```

Largest 10 diffraction maxima, in order of rising 2θ, 15 to 90 degrees two-theta:
- 23.67°, d 3.759, intensity 37, hkl 1 1 1
- 27.85°, d 3.203, intensity 30, hkl 1 0 5
- 29.54°, d 3.024, intensity 100, hkl 2 1 1
- 30.91°, d 2.893, intensity 48, hkl 2 1 2
- 31.18°, d 2.868, intensity 70, hkl 0 0 6
- 34.98°, d 2.565, intensity 29, hkl 1 1 5
- 37.49°, d 2.399, intensity 29, hkl 3 1 1
- 39.33°, d 2.291, intensity 34, hkl 2 1 5
- 42.19°, d 2.142, intensity 42, hkl 0 2 0
- 44.15°, d 2.051, intensity 30, hkl 3 0 6

=====

Record 2
For ThPaCoNi, a DFT-relaxed cell (GGA-PBE, Alexandria) gives the computed powder diffractogram in this record (copper Kα).

```
data_ThPaCoNi
_space_group_name_H-M_alt 'A m m 2'
_space_group_IT_number 38
_space_group_name_Hall 'A 2 -2'
_cell_length_a 3.7707
_cell_length_b 3.6693
_cell_length_c 11.8537
_cell_angle_alpha 90.00
_cell_angle_beta 90.00
_cell_angle_gamma 90.00
loop_
_atom_site_label
_atom_site_type_symbol
_atom_site_fract_x
_atom_site_fract_y
_atom_site_fract_z
_atom_site_occupancy
Th1 Th 0.0000 0.0000 0.0000 1
Pa1 Pa 0.5000 0.0000 0.7293 1
Co1 Co 0.0000 0.0000 0.2526 1
Ni1 Ni 0.5000 0.0000 0.4090 1
```

Largest 10 diffraction maxima, in order of rising 2θ, 15 to 90 degrees two-theta:
- 25.41°, d 3.505, intensity 24, hkl 0 1 1
- 28.05°, d 3.181, intensity 69, hkl 1 0 2
- 30.16°, d 2.963, intensity 51, hkl 0 0 4
- 33.32°, d 2.689, intensity 53, hkl 0 1 3
- 34.95°, d 2.567, intensity 100, hkl 1 1 1
- 41.24°, d 2.189, intensity 53, hkl 1 1 3
- 48.27°, d 1.885, intensity 21, hkl 2 0 0
- 51.93°, d 1.761, intensity 29, hkl 1 1 5
- 58.01°, d 1.590, intensity 36, hkl 2 0 4
- 59.92°, d 1.544, intensity 21, hkl 2 1 3

=====

Record 3
For Hf12Co5Bi, a DFT-relaxed cell (GGA-PBE, Alexandria) gives the computed powder diffractogram in this record (copper Kα).

```
data_Hf12Co5Bi
_space_group_name_H-M_alt 'I m m m'
_space_group_IT_number 71
_space_group_name_Hall '-I 2 2'
_cell_length_a 8.3315
_cell_length_b 8.4177
_cell_length_c 9.8884
_cell_angle_alpha 90.00
_cell_angle_beta 90.00
_cell_angle_gamma 90.00
loop_
_atom_site_label
_atom_site_type_symbol
_atom_site_fract_x
_atom_site_fract_y
_atom_site_fract_z
_atom_site_occupancy
Hf1 Hf 0.0000 0.1887 0.2205 1
Hf2 Hf 0.1849 0.5000 0.1789 1
Hf3 Hf 0.2115 0.3194 0.5000 1
Co1 Co 0.0000 0.0000 0.0000 1
Co2 Co 0.0000 0.3400 0.0000 1
Co3 Co 0.0000 0.5000 0.3743 1
Bi1 Bi 0.0000 0.0000 0.5000 1
```

Largest 10 diffraction maxima, in order of rising 2θ, 15 to 90 degrees two-theta:
- 29.12°, d 3.066, intensity 36, hkl 1 0 3
- 33.19°, d 2.699, intensity 33, hkl 0 3 1
- 33.99°, d 2.637, intensity 42, hkl 3 1 0
- 35.34°, d 2.540, intensity 100, hkl 2 2 2
- 36.34°, d 2.472, intensity 22, hkl 0 0 4
- 36.36°, d 2.471, intensity 66, hkl 2 1 3
- 38.44°, d 2.342, intensity 73, hkl 1 3 2
- 39.95°, d 2.257, intensity 35, hkl 3 2 1
- 56.97°, d 1.617, intensity 23, hkl 0 3 5
- 68.14°, d 1.376, intensity 32, hkl 5 3 2

=====

Record 4
For Tb2PmHo3Se6, a DFT-relaxed cell (GGA-PBE, Alexandria) gives the computed powder diffractogram in this record (copper Kα).

```
data_Tb2PmHo3Se6
_space_group_name_H-M_alt 'C 1 2/m 1'
_space_group_IT_number 12
_space_group_name_Hall '-C 2y'
_cell_length_a 7.0465
_cell_length_b 12.2808
_cell_length_c 7.1190
_cell_angle_alpha 90.00
_cell_angle_beta 109.37
_cell_angle_gamma 90.00
loop_
_atom_site_label
_atom_site_type_symbol
_atom_site_fract_x
_atom_site_fract_y
_atom_site_fract_z
_atom_site_occupancy
Tb1 Tb 0.0000 0.1658 0.0000 1
Pm1 Pm 0.0000 0.5000 0.0000 1
Ho1 Ho 0.0000 0.0000 0.5000 1
Ho2 Ho 0.0000 0.3375 0.5000 1
Se1 Se 0.2444 0.1699 0.7422 1
Se2 Se 0.2458 0.0000 0.2549 1
```

Largest 10 diffraction maxima, in order of rising 2θ, 15 to 90 degrees two-theta:
- 26.69°, d 3.340, intensity 10, hkl 1 3 -1
- 30.91°, d 2.893, intensity 100, hkl 2 0 -2
- 44.11°, d 2.053, intensity 25, hkl 1 3 -3
- 44.25°, d 2.047, intensity 25, hkl 2 0 2
- 44.47°, d 2.037, intensity 24, hkl 3 3 -1
- 54.98°, d 1.670, intensity 13, hkl 2 6 -2
- 64.36°, d 1.447, intensity 8, hkl 2 6 2
- 72.91°, d 1.297, intensity 11, hkl 3 3 -5
- 73.43°, d 1.289, intensity 11, hkl 5 3 -3
- 81.58°, d 1.180, intensity 8, hkl 4 6 -4

=====

Record 5
For Mg3Ni8Sn, a DFT-relaxed cell (GGA-PBE, Alexandria) gives the computed powder diffractogram in this record (copper Kα).

```
data_Mg3Ni8Sn
_space_group_name_H-M_alt 'R 3 m'
_space_group_IT_number 160
_space_group_name_Hall 'R 3 -2"'
_cell_length_a 4.8543
_cell_length_b 4.8543
_cell_length_c 23.6497
_cell_angle_alpha 90.00
_cell_angle_beta 90.00
_cell_angle_gamma 120.00
loop_
_atom_site_label
_atom_site_type_symbol
_atom_site_fract_x
_atom_site_fract_y
_atom_site_fract_z
_atom_site_occupancy
Mg1 Mg 0.0000 0.0000 0.0000 1
Mg2 Mg 0.0000 0.0000 0.1233 1
Mg3 Mg 0.0000 0.0000 0.4951 1
Ni1 Ni 0.0000 0.0000 0.3102 1
Ni2 Ni 0.0000 0.0000 0.8098 1
Ni3 Ni 0.0013 0.5006 0.5599 1
Ni4 Ni 0.1672 0.3345 0.3934 1
Sn1 Sn 0.0000 0.0000 0.6212 1
```

Largest 10 diffraction maxima, in order of rising 2θ, 15 to 90 degrees two-theta:
- 22.45°, d 3.961, intensity 23, hkl 0 1 2
- 37.04°, d 2.427, intensity 13, hkl 1 1 0
- 37.18°, d 2.418, intensity 13, hkl 0 1 8
- 43.78°, d 2.068, intensity 100, hkl 2 0 2
- 43.93°, d 2.061, intensity 34, hkl 1 0 10
- 45.82°, d 1.981, intensity 50, hkl 0 2 4
- 46.05°, d 1.971, intensity 16, hkl 0 0 12
- 71.49°, d 1.320, intensity 29, hkl 2 1 10
- 78.88°, d 1.214, intensity 17, hkl 2 2 0
- 79.23°, d 1.209, intensity 17, hkl 0 2 16